Diffraction record for SmBi3Pd6. The X-ray powder pattern is calculated, not measured: it uses a DFT-relaxed cell (GGA-PBE, Alexandria) and Cu Kα.
Intensities are scaled so that the largest is 100.

Crystal structure
```
data_SmBi3Pd6
_cell_length_a 12.1773
_cell_length_b 12.1773
_cell_length_c 5.4306
_cell_angle_alpha 90.00
_cell_angle_beta 90.00
_cell_angle_gamma 120.00
_space_group_name_H-M_alt 'R 3 m'
_space_group_IT_number 160
_space_group_name_Hall 'R 3 -2"'
loop_
_atom_site_label
_atom_site_type_symbol
_atom_site_fract_x
_atom_site_fract_y
_atom_site_fract_z
Sm1 Sm 0.0000 0.0000 0.0000
Bi1 Bi 0.1957 0.3913 0.3353
Pd1 Pd 0.0763 0.1525 0.4703
Pd2 Pd 0.1957 0.3914 0.8339
```

Largest 10 diffraction maxima, sorted by position, 10° ≤ 2θ ≤ 90°:
(0 2 1), 23.52 deg, d 3.783, rel. 32; (3 0 0), 25.34 deg, d 3.515, rel. 64; (2 2 0), 29.34 deg, d 3.044, rel. 68; (1 3 1), 34.84 deg, d 2.575, rel. 22; (2 0 2), 37.25 deg, d 2.414, rel. 100; (4 1 0), 39.14 deg, d 2.301, rel. 67; (1 2 2), 40.18 deg, d 2.244, rel. 34; (2 3 2), 50.53 deg, d 1.806, rel. 36; (5 2 0), 54.33 deg, d 1.689, rel. 29; (5 3 2), 71.63 deg, d 1.317, rel. 38